# Tb3Pm2Te8
Calculated X-ray diffraction stick pattern, Cu Ka. Input: a cell relaxed with PBE.

Largest 12 diffraction maxima, in order of falling intensity, 5 to 70 degrees two-theta:
31.08°, d 2.878, rel. 100; 24.79°, d 3.591, rel. 47; 41.21°, d 2.191, rel. 41; 37.00°, d 2.429, rel. 34; 41.06°, d 2.198, rel. 21; 18.40°, d 4.822, rel. 20; 37.25°, d 2.414, rel. 18; 52.34°, d 1.748, rel. 16; 20.99°, d 4.232, rel. 14; 68.70°, d 1.366, rel. 14; 23.58°, d 3.772, rel. 11; 49.63°, d 1.837, rel. 11

Structural model:
a b c (Å): 8.913 8.913 7.580
angles (deg): 106.13 106.13 59.11
Fractional positions:
Tb (0.000, 0.000, 0.000)
Tb (0.258, 0.742, 0.500)
Tb (0.742, 0.258, 0.500)
Pm (0.251, 0.251, 0.831)
Pm (0.749, 0.749, 0.169)
Te (0.119, 0.119, 0.414)
Te (0.128, 0.633, 0.088)
Te (0.367, 0.872, 0.912)
Te (0.381, 0.381, 0.592)
Te (0.619, 0.619, 0.408)
Te (0.633, 0.128, 0.088)
Te (0.872, 0.367, 0.912)
Te (0.881, 0.881, 0.586)

***

# Tb3Pm2Te6
Calculated X-ray diffraction stick pattern, Cu Ka. Input: a cell relaxed with PBE.

Largest 12 diffraction maxima, in order of falling intensity, 5 to 70 degrees two-theta:
28.78°, d 3.102, rel. 100; 41.13°, d 2.195, rel. 63; 51.03°, d 1.790, rel. 20; 67.49°, d 1.388, rel. 17; 41.27°, d 2.187, rel. 12; 67.66°, d 1.385, rel. 11; 59.69°, d 1.549, rel. 8; 50.88°, d 1.795, rel. 7; 67.35°, d 1.390, rel. 6; 59.47°, d 1.554, rel. 4; 12.36°, d 7.163, rel. 3; 14.06°, d 6.298, rel. 3

Structural model:
a b c (Å): 7.588 7.588 7.602
angles (deg): 99.68 99.68 119.73
Fractional positions:
Tb (0.000, 0.000, 0.000)
Tb (0.330, 0.670, 0.000)
Tb (0.670, 0.330, 0.000)
Pm (0.164, 0.836, 0.500)
Pm (0.836, 0.164, 0.500)
Te (0.096, 0.418, 0.251)
Te (0.263, 0.263, 0.752)
Te (0.418, 0.096, 0.251)
Te (0.582, 0.904, 0.749)
Te (0.737, 0.737, 0.248)
Te (0.904, 0.582, 0.749)

***

# Tb2Pm3Te5
Calculated X-ray diffraction stick pattern, Cu Ka. Input: a cell relaxed with PBE.

Largest 12 diffraction maxima, in order of falling intensity, 5 to 70 degrees two-theta:
28.51°, d 3.131, rel. 100; 40.68°, d 2.218, rel. 38; 40.82°, d 2.210, rel. 38; 66.71°, d 1.402, rel. 17; 50.52°, d 1.806, rel. 14; 59.00°, d 1.566, rel. 13; 66.88°, d 1.399, rel. 12; 50.31°, d 1.814, rel. 7; 50.59°, d 1.804, rel. 7; 66.96°, d 1.398, rel. 6; 24.61°, d 3.618, rel. 1; 48.25°, d 1.886, rel. 1

Structural model:
a b c (Å): 7.691 7.691 10.826
angles (deg): 118.18 118.18 33.44
Fractional positions:
Tb (0.097, 0.097, 0.401)
Tb (0.903, 0.903, 0.599)
Pm (0.295, 0.295, 0.196)
Pm (0.500, 0.500, 0.000)
Pm (0.705, 0.705, 0.804)
Te (0.097, 0.097, 0.894)
Te (0.301, 0.301, 0.692)
Te (0.500, 0.500, 0.500)
Te (0.699, 0.699, 0.308)
Te (0.903, 0.903, 0.106)

***

# Tb2PmYTe6
Calculated X-ray diffraction stick pattern, Cu Ka. Input: a cell relaxed with PBE.

Largest 12 diffraction maxima, in order of falling intensity, 5 to 70 degrees two-theta:
26.18°, d 3.404, rel. 100; 34.29°, d 2.615, rel. 94; 40.23°, d 2.242, rel. 62; 15.60°, d 5.681, rel. 33; 53.87°, d 1.702, rel. 25; 21.33°, d 4.166, rel. 23; 44.97°, d 2.016, rel. 23; 69.32°, d 1.356, rel. 22; 67.45°, d 1.389, rel. 20; 31.50°, d 2.840, rel. 19; 48.63°, d 1.872, rel. 16; 39.30°, d 2.292, rel. 16

Structural model:
a b c (Å): 8.376 8.376 8.376
angles (deg): 55.24 55.24 55.24
Fractional positions:
Tb (0.000, 0.000, 0.000)
Tb (0.499, 0.499, 0.499)
Pm (0.311, 0.311, 0.311)
Y (0.813, 0.813, 0.813)
Te (0.093, 0.406, 0.723)
Te (0.220, 0.898, 0.601)
Te (0.406, 0.723, 0.093)
Te (0.601, 0.220, 0.898)
Te (0.723, 0.093, 0.406)
Te (0.898, 0.601, 0.220)

***

# TbPm7Th3
Calculated X-ray diffraction stick pattern, Cu Ka. Input: a cell relaxed with PBE.

Largest 12 diffraction maxima, in order of falling intensity, 5 to 70 degrees two-theta:
31.51°, d 2.839, rel. 100; 32.23°, d 2.777, rel. 56; 31.63°, d 2.829, rel. 53; 31.40°, d 2.849, rel. 48; 33.13°, d 2.704, rel. 31; 33.27°, d 2.693, rel. 27; 46.99°, d 1.934, rel. 22; 30.39°, d 2.941, rel. 19; 27.30°, d 3.267, rel. 14; 57.00°, d 1.616, rel. 12; 28.00°, d 3.186, rel. 11; 25.63°, d 3.475, rel. 10

Structural model:
a b c (Å): 6.517 6.813 8.830
angles (deg): 101.58 97.51 97.52
Fractional positions:
Tb (0.000, 0.000, 0.000)
Pm (0.000, 0.500, 0.000)
Pm (0.074, 0.217, 0.645)
Pm (0.198, 0.730, 0.702)
Pm (0.493, 0.231, 0.924)
Pm (0.507, 0.769, 0.076)
Pm (0.802, 0.270, 0.298)
Pm (0.926, 0.783, 0.355)
Th (0.334, 0.448, 0.335)
Th (0.500, 0.000, 0.500)
Th (0.666, 0.552, 0.665)

***

# Tb7Pm2Th4
Calculated X-ray diffraction stick pattern, Cu Ka. Input: a cell relaxed with PBE.

Largest 12 diffraction maxima, in order of falling intensity, 5 to 70 degrees two-theta:
30.56°, d 2.926, rel. 100; 35.41°, d 2.535, rel. 34; 60.67°, d 1.526, rel. 22; 50.93°, d 1.793, rel. 18; 51.02°, d 1.790, rel. 18; 60.56°, d 1.529, rel. 18; 35.47°, d 2.530, rel. 17; 63.65°, d 1.462, rel. 9; 60.46°, d 1.531, rel. 4; 63.49°, d 1.465, rel. 3; 14.43°, d 6.136, rel. 1; 10.30°, d 8.591, rel. 1

Structural model:
a b c (Å): 6.199 8.007 9.483
angles (deg): 65.17 83.83 82.63
Fractional positions:
Tb (0.000, 0.000, 0.000)
Tb (0.078, 0.844, 0.696)
Tb (0.234, 0.538, 0.075)
Tb (0.388, 0.230, 0.463)
Tb (0.612, 0.770, 0.537)
Tb (0.766, 0.462, 0.925)
Tb (0.922, 0.156, 0.304)
Pm (0.158, 0.693, 0.380)
Pm (0.842, 0.307, 0.620)
Th (0.314, 0.377, 0.774)
Th (0.464, 0.077, 0.149)
Th (0.536, 0.923, 0.851)
Th (0.686, 0.623, 0.226)

***

# Tb5Pm5Th2
Calculated X-ray diffraction stick pattern, Cu Ka. Input: a cell relaxed with PBE.

Largest 12 diffraction maxima, in order of falling intensity, 5 to 70 degrees two-theta:
30.36°, d 2.944, rel. 100; 35.27°, d 2.545, rel. 45; 30.45°, d 2.935, rel. 33; 50.73°, d 1.800, rel. 32; 60.22°, d 1.537, rel. 24; 60.33°, d 1.534, rel. 24; 35.16°, d 2.553, rel. 23; 50.57°, d 1.805, rel. 16; 60.07°, d 1.540, rel. 10; 63.13°, d 1.473, rel. 8; 63.38°, d 1.468, rel. 4; 63.26°, d 1.470, rel. 4

Structural model:
a b c (Å): 6.226 8.054 8.832
angles (deg): 111.20 90.05 104.92
Fractional positions:
Tb (0.000, 0.000, 0.000)
Tb (0.088, 0.754, 0.583)
Tb (0.167, 0.505, 0.169)
Tb (0.833, 0.495, 0.831)
Tb (0.912, 0.246, 0.417)
Pm (0.251, 0.244, 0.746)
Pm (0.418, 0.756, 0.918)
Pm (0.500, 0.500, 0.500)
Pm (0.582, 0.244, 0.082)
Pm (0.749, 0.756, 0.254)
Th (0.337, 0.998, 0.336)
Th (0.663, 0.002, 0.664)

***

# Tb5Pm12Th2
Calculated X-ray diffraction stick pattern, Cu Ka. Input: a cell relaxed with PBE.

Largest 12 diffraction maxima, in order of falling intensity, 5 to 70 degrees two-theta:
30.58°, d 2.923, rel. 100; 30.68°, d 2.914, rel. 77; 34.72°, d 2.584, rel. 32; 34.99°, d 2.565, rel. 27; 36.81°, d 2.442, rel. 26; 30.08°, d 2.971, rel. 18; 49.98°, d 1.825, rel. 14; 51.50°, d 1.775, rel. 14; 51.69°, d 1.768, rel. 13; 62.50°, d 1.486, rel. 13; 60.15°, d 1.538, rel. 12; 54.78°, d 1.676, rel. 12

Structural model:
a b c (Å): 9.482 9.482 8.152
angles (deg): 90.42 90.42 61.99
Fractional positions:
Tb (0.000, 0.000, 0.000)
Tb (0.250, 0.250, 0.977)
Tb (0.356, 0.356, 0.430)
Tb (0.644, 0.644, 0.570)
Tb (0.750, 0.750, 0.023)
Pm (0.034, 0.593, 0.713)
Pm (0.160, 0.160, 0.624)
Pm (0.169, 0.618, 0.117)
Pm (0.382, 0.831, 0.883)
Pm (0.407, 0.966, 0.287)
Pm (0.452, 0.452, 0.784)
Pm (0.548, 0.548, 0.216)
Pm (0.593, 0.034, 0.713)
Pm (0.618, 0.169, 0.117)
Pm (0.831, 0.382, 0.883)
Pm (0.840, 0.840, 0.376)
Pm (0.966, 0.407, 0.287)
Th (0.221, 0.779, 0.500)
Th (0.779, 0.221, 0.500)